No. 1
Theoretical X-ray powder pattern of Th2NpUP4 for CuKα, from DFT lattice parameters and positions (PBE).
No peak broadening, texture or thermal motion is included.

Atomic structure:
Unit cell a=5.745 b=5.745 c=11.466 alpha=90.00 beta=90.00 gamma=90.00
Space group I-4m2 (No. 119)
Inequivalent atoms, fractional coordinates:
Th: 0.000 0.000 0.000 [2 per cell]
Th: 0.000 0.500 0.250 [2 per cell]
Np: 0.000 0.000 0.500 [2 per cell]
U: 0.000 0.500 0.750 [2 per cell]
P: 0.000 0.000 0.255 [4 per cell]
P: 0.000 0.500 0.507 [4 per cell]

Main lines, in order of rising 2θ (2θ = 15–90°):
| two_theta | I/Imax | hkl |
| --- | --- | --- |
| 26.90 | 100 | 1 1 2 |
| 31.16 | 91 | 2 0 0 |
| 44.65 | 69 | 2 2 0 |
| 52.90 | 51 | 1 1 6 |
| 55.44 | 24 | 2 2 4 |
| 64.93 | 8 | 4 0 0 |
| 71.65 | 21 | 3 1 6 |
| 73.78 | 21 | 4 2 0 |
| 73.90 | 11 | 2 0 8 |
| 82.24 | 16 | 4 2 4 |
| 82.34 | 8 | 2 2 8 |
| 88.45 | 13 | 3 3 6 |


No. 2
Theoretical X-ray powder pattern of NpTiP3 for CuKα, from DFT lattice parameters and positions (PBE).
No peak broadening, texture or thermal motion is included.

Atomic structure:
Unit cell a=11.965 b=5.203 c=5.544 alpha=90.00 beta=90.00 gamma=90.00
Space group Pbcm (No. 57)
Inequivalent atoms, fractional coordinates:
Np: 0.180 0.002 0.250 [4 per cell]
Ti: 0.420 0.750 0.000 [4 per cell]
P: 0.000 0.250 0.000 [4 per cell]
P: 0.273 0.003 0.750 [4 per cell]
P: 0.415 0.139 0.250 [4 per cell]

Main lines, in order of rising 2θ (2θ = 15–90°):
| two_theta | I/Imax | hkl |
| --- | --- | --- |
| 22.29 | 28 | 3 0 0 |
| 24.62 | 100 | 1 1 1 |
| 27.84 | 60 | 2 1 1 |
| 32.29 | 17 | 0 0 2 |
| 35.70 | 27 | 2 0 2 |
| 37.58 | 18 | 5 0 0 |
| 37.70 | 26 | 2 2 0 |
| 38.32 | 62 | 4 1 1 |
| 39.59 | 24 | 3 0 2 |
| 41.44 | 21 | 3 2 0 |
| 47.96 | 29 | 0 2 2 |
| 61.62 | 16 | 4 1 3 |


No. 3
Theoretical X-ray powder pattern of TmNp3P4 for CuKα, from DFT lattice parameters and positions (PBE).
No peak broadening, texture or thermal motion is included.

Atomic structure:
Unit cell a=7.911 b=11.176 c=3.953 alpha=90.00 beta=90.00 gamma=90.00
Space group Cmmm (No. 65)
Inequivalent atoms, fractional coordinates:
Tm: 0.000 0.000 0.000 [2 per cell]
Np: 0.000 0.500 0.000 [2 per cell]
Np: 0.250 0.250 0.500 [4 per cell]
P: 0.000 0.250 0.000 [4 per cell]
P: 0.249 0.500 0.500 [4 per cell]

Main lines, in order of rising 2θ (2θ = 15–90°):
| two_theta | I/Imax | hkl |
| --- | --- | --- |
| 15.86 | 1 | 0 2 0 |
| 26.44 | 1 | 1 3 0 |
| 27.64 | 100 | 2 2 0 |
| 32.02 | 93 | 2 0 1 |
| 34.98 | 1 | 1 3 1 |
| 45.91 | 69 | 4 0 0 |
| 54.43 | 50 | 4 2 1 |
| 57.07 | 24 | 4 4 0 |
| 66.95 | 11 | 4 0 2 |
| 73.89 | 20 | 6 2 0 |
| 76.15 | 32 | 6 0 1 |
| 84.99 | 25 | 6 4 1 |


No. 4
Theoretical X-ray powder pattern of TmNp4P5 for CuKα, from DFT lattice parameters and positions (PBE).
No peak broadening, texture or thermal motion is included.

Atomic structure:
Unit cell a=3.957 b=5.594 c=19.791 alpha=90.00 beta=90.00 gamma=90.00
Space group Immm (No. 71)
Inequivalent atoms, fractional coordinates:
Tm: 0.000 0.000 0.000 [2 per cell]
Np: 0.000 0.000 0.200 [4 per cell]
Np: 0.000 0.000 0.401 [4 per cell]
P: 0.000 0.500 0.000 [2 per cell]
P: 0.000 0.500 0.199 [4 per cell]
P: 0.000 0.500 0.399 [4 per cell]

Main lines, in order of rising 2θ (2θ = 15–90°):
| two_theta | I/Imax | hkl |
| --- | --- | --- |
| 16.47 | 1 | 0 1 1 |
| 20.82 | 1 | 0 1 3 |
| 27.61 | 100 | 1 1 0 |
| 31.99 | 93 | 1 0 5 |
| 45.87 | 69 | 2 0 0 |
| 54.37 | 50 | 2 1 5 |
| 57.01 | 24 | 2 2 0 |
| 66.88 | 11 | 2 0 10 |
| 73.81 | 20 | 3 1 0 |
| 76.06 | 32 | 3 0 5 |
| 84.89 | 25 | 3 2 5 |


No. 5
Theoretical X-ray powder pattern of YTm2NpP4 for CuKα, from DFT lattice parameters and positions (PBE).
No peak broadening, texture or thermal motion is included.

Atomic structure:
Unit cell a=6.856 b=3.958 c=6.864 alpha=90.00 beta=109.34 gamma=90.00
Space group P2/m (No. 10)
Inequivalent atoms, fractional coordinates:
Y: 0.000 0.000 0.000 [1 per cell]
Tm: 0.500 0.000 0.500 [1 per cell]
Tm: 0.500 0.500 0.000 [1 per cell]
Np: 0.000 0.500 0.500 [1 per cell]
P: 0.250 0.000 0.747 [2 per cell]
P: 0.251 0.500 0.255 [2 per cell]

Main lines, in order of rising 2θ (2θ = 15–90°):
| two_theta | I/Imax | hkl |
| --- | --- | --- |
| 27.58 | 89 | 2 0 0 |
| 31.95 | 100 | 1 1 1 |
| 45.78 | 37 | 2 0 2 |
| 45.85 | 36 | 0 2 0 |
| 54.29 | 25 | 3 1 1 |
| 54.36 | 18 | 2 2 0 |
| 56.90 | 13 | 4 0 0 |
| 56.99 | 13 | 2 2 -2 |
| 73.77 | 12 | 5 1 -1 |
| 75.89 | 11 | 3 1 3 |
| 76.01 | 22 | 4 2 0 |
| 84.85 | 15 | 6 0 -2 |


No. 6
Theoretical X-ray powder pattern of Np2PaPd2S6 for CuKα, from DFT lattice parameters and positions (PBE).
No peak broadening, texture or thermal motion is included.

Atomic structure:
Unit cell a=6.5192 b=6.5192 c=6.4399 alpha=90.00 beta=90.00 gamma=120.00
Space group P-31m (No. 162)
Inequivalent atoms, fractional coordinates:
Np: 0.3333 0.6667 0.0000 [2 per cell]
Pa: 0.0000 0.0000 0.5000 [1 per cell]
Pd: 0.3333 0.6667 0.5000 [2 per cell]
S: 0.0000 0.3387 0.7434 [6 per cell]

Main lines, in order of rising 2θ (2θ = 15–90°):
| two_theta | I/Imax | hkl |
| --- | --- | --- |
| 20.92 | 58 | 1 0 1 |
| 27.36 | 83 | 1 1 0 |
| 27.70 | 20 | 0 0 2 |
| 34.70 | 17 | 2 0 1 |
| 39.33 | 100 | 2 -1 2 |
| 44.74 | 17 | 2 1 1 |
| 48.36 | 33 | 3 0 0 |
| 56.65 | 18 | 3 0 2 |
| 64.03 | 24 | 2 2 2 |
| 64.56 | 16 | 1 1 4 |
| 78.12 | 16 | 3 0 4 |
| 84.13 | 23 | 5 -1 2 |